Nd3TiTl4Te8: simulated powder diffractogram (Cu Ka), based on a GGA-PBE-relaxed structure.
Lines closer than 0.1° are merged.

Crystal structure
Unit cell a=9.6549 b=9.6549 c=9.6549 alpha=55.00 beta=55.00 gamma=55.00
Element x y z (fractional)
Nd  0.0000  0.5000  0.5000
Nd  0.5000  0.0000  0.5000
Nd  0.5000  0.5000  0.0000
Ti  0.0000  0.0000  0.0000
Tl  0.0000  0.0000  0.5000
Tl  0.0000  0.5000  0.0000
Tl  0.5000  0.0000  0.0000
Tl  0.5000  0.5000  0.5000
Te  0.2243  0.2243  0.7624
Te  0.2243  0.7624  0.2243
Te  0.2376  0.7757  0.7757
Te  0.2584  0.2584  0.2584
Te  0.7416  0.7416  0.7416
Te  0.7624  0.2243  0.2243
Te  0.7757  0.2376  0.7757
Te  0.7757  0.7757  0.2376

Largest 10 diffraction maxima, sorted by position, 2θ = 10–90°:
2θ (°)	intensity
27.30	100
29.45	8
37.48	38
40.47	35
44.36	7
49.51	19
56.33	12
61.59	14
65.79	15
71.63	11